1.
Structure and computed powder X-ray diffraction pattern of Zn7Pd2Rh3 (a cell relaxed with PBE; Cu Kα X-rays).
Kinematic intensities with the Lorentz-polarization factor, no thermal factor.

Atomic structure:
Cell lengths 11.9807, 11.9807, 3.7542 Å; angles 90.00, 90.00, 159.96 degrees
Fractional coordinates of all 12 atoms:
Zn 0.0000 0.0000 0.0000
Zn 0.0819 0.9181 0.5000
Zn 0.2765 0.7235 0.0000
Zn 0.4223 0.5777 0.0000
Zn 0.5777 0.4223 0.0000
Zn 0.7235 0.2765 0.0000
Zn 0.9181 0.0819 0.5000
Pd 0.1604 0.8396 0.0000
Pd 0.8396 0.1604 0.0000
Rh 0.3514 0.6486 0.5000
Rh 0.5000 0.5000 0.5000
Rh 0.6486 0.3514 0.5000

Main lines, low angle first (15° ≤ 2θ ≤ 90°):
d (Å)	I_rel
5.899	8
3.577	9
2.401	21
2.149	100
2.084	28
1.966	9
1.877	20
1.395	14
1.216	15
1.129	12

=====

2.
Structure and computed powder X-ray diffraction pattern of La3GeTe2 (a cell relaxed with PBE; Cu Kα X-rays).
Kinematic intensities with the Lorentz-polarization factor, no thermal factor.

Atomic structure:
Cell lengths 15.0404, 14.3405, 7.8787 Å; angles 79.41, 69.59, 30.99 degrees
Fractional coordinates of all 24 atoms:
La 0.0378 0.5378 0.1924
La 0.1038 0.6462 0.6462
La 0.1924 0.7320 0.0378
La 0.2680 0.8076 0.4622
La 0.3538 0.8962 0.8962
La 0.4622 0.9622 0.2680
La 0.5378 0.0378 0.7320
La 0.6462 0.1038 0.1038
La 0.7320 0.1924 0.5378
La 0.8076 0.2680 0.9622
La 0.8962 0.3538 0.3538
La 0.9622 0.4622 0.8076
Ge 0.0414 0.0414 0.2086
Ge 0.2086 0.2086 0.0414
Ge 0.7914 0.7914 0.9586
Ge 0.9586 0.9586 0.7914
Te 0.1273 0.1273 0.6227
Te 0.2941 0.2941 0.4559
Te 0.3773 0.3773 0.8727
Te 0.4559 0.4559 0.2941
Te 0.5441 0.5441 0.7059
Te 0.6227 0.6227 0.1273
Te 0.7059 0.7059 0.5441
Te 0.8727 0.8727 0.3773

Main lines, low angle first (15° ≤ 2θ ≤ 90°):
d (Å)	I_rel
3.213	100
2.278	12
2.272	50
2.266	12
1.858	13
1.852	13
1.607	12
1.437	21
1.314	11
1.310	12

=====

3.
Structure and computed powder X-ray diffraction pattern of Mg2Cd2Ni (a cell relaxed with PBE; Cu Kα X-rays).
Kinematic intensities with the Lorentz-polarization factor, no thermal factor.

Atomic structure:
Cell lengths 6.7979, 6.7979, 4.4242 Å; angles 90.00, 90.00, 90.00 degrees
Fractional coordinates of all 10 atoms:
Mg 0.1691 0.3309 0.0000
Mg 0.3309 0.8309 0.0000
Mg 0.6691 0.1691 0.0000
Mg 0.8309 0.6691 0.0000
Cd 0.1480 0.6480 0.5000
Cd 0.3520 0.1480 0.5000
Cd 0.6480 0.8520 0.5000
Cd 0.8520 0.3520 0.5000
Ni 0.0000 0.0000 0.5000
Ni 0.5000 0.5000 0.5000

Main lines, low angle first (15° ≤ 2θ ≤ 90°):
d (Å)	I_rel
4.424	70
3.040	35
2.506	100
2.212	22
2.150	33
1.934	28
1.789	15
1.542	22
1.327	12
1.214	13

=====

4.
Structure and computed powder X-ray diffraction pattern of Tc4Pb3 (a cell relaxed with PBE; Cu Kα X-rays).
Kinematic intensities with the Lorentz-polarization factor, no thermal factor.

Atomic structure:
Cell lengths 6.0609, 6.0609, 4.6002 Å; angles 90.00, 90.00, 120.00 degrees
Fractional coordinates of all 7 atoms:
Tc 0.0000 0.0000 0.2456
Tc 0.0000 0.0000 0.7544
Tc 0.3333 0.6667 0.5000
Tc 0.6667 0.3333 0.5000
Pb 0.0000 0.5000 0.0000
Pb 0.5000 0.0000 0.0000
Pb 0.5000 0.5000 0.0000

Main lines, low angle first (15° ≤ 2θ ≤ 90°):
d (Å)	I_rel
4.600	32
2.624	73
2.531	41
2.280	100
2.107	39
1.515	28
1.502	26
1.324	17
1.262	16
1.230	14

=====

5.
Structure and computed powder X-ray diffraction pattern of PmRu2O8 (a cell relaxed with PBE; Cu Kα X-rays).
Kinematic intensities with the Lorentz-polarization factor, no thermal factor.

Atomic structure:
Cell lengths 6.8286, 6.8286, 6.8286 Å; angles 60.00, 60.00, 60.00 degrees
Fractional coordinates of all 11 atoms:
Pm 0.0000 0.0000 0.0000
Ru 0.2500 0.2500 0.2500
Ru 0.7500 0.7500 0.7500
O 0.1446 0.1446 0.1446
O 0.1446 0.1446 0.5663
O 0.1446 0.5663 0.1446
O 0.4337 0.8554 0.8554
O 0.5663 0.1446 0.1446
O 0.8554 0.4337 0.8554
O 0.8554 0.8554 0.4337
O 0.8554 0.8554 0.8554

Main lines, low angle first (15° ≤ 2θ ≤ 90°):
d (Å)	I_rel
5.576	54
3.414	100
2.912	10
2.215	21
1.971	39
1.707	20
1.632	9
1.527	16
1.290	21
1.138	11

=====

6.
Structure and computed powder X-ray diffraction pattern of KNaTlSb2 (a cell relaxed with PBE; Cu Kα X-rays).
Kinematic intensities with the Lorentz-polarization factor, no thermal factor.

Atomic structure:
Cell lengths 4.2534, 5.3254, 14.8294 Å; angles 90.00, 90.00, 90.00 degrees
Fractional coordinates of all 10 atoms:
K 0.0000 0.0000 0.0000
K 0.5000 0.5000 0.5000
Na 0.0000 0.5000 0.7227
Na 0.5000 0.0000 0.2227
Tl 0.0000 0.0000 0.3871
Tl 0.5000 0.5000 0.8871
Sb 0.0000 0.0000 0.6078
Sb 0.0000 0.5000 0.2508
Sb 0.5000 0.0000 0.7508
Sb 0.5000 0.5000 0.1078

Main lines, low angle first (15° ≤ 2θ ≤ 90°):
d (Å)	I_rel
5.012	68
4.089	68
3.623	46
3.323	29
3.033	64
2.663	44
2.591	50
2.474	100
2.433	28
2.231	28

=====

Question: Number 1 is which compound?
Answer: Zn7Pd2Rh3

=====

Question: Which formula does entry 2 have?
Answer: La3GeTe2